No. 1
The following is a simulated powder X-ray diffraction pattern of Pm2ErBi2N2. It was derived from a cell relaxed with PBE, using λ = 1.5418 Å (Cu Kα).
Peak positions follow from Bragg's law for the DFT cell and can differ from measured ones.

Principal peaks in the range 2θ = 15–90°, in order of rising 2θ:
2θ 28.08, I = 85; 2θ 34.18, I = 100; 2θ 40.13, I = 38; 2θ 53.71, I = 56; 2θ 58.05, I = 13; 2θ 65.70, I = 16; 2θ 69.12, I = 13; 2θ 83.05, I = 17

Crystal structure
Lattice parameters (Å, degrees): 4.4940 4.4940 16.1550 90.00 90.00 90.00
Atoms (fractional coordinates):
Pm (0.0000, 0.0000, 0.0922)
Pm (0.0000, 0.0000, 0.9078)
Pm (0.5000, 0.5000, 0.4078)
Pm (0.5000, 0.5000, 0.5922)
Er (0.0000, 0.0000, 0.5000)
Er (0.5000, 0.5000, 0.0000)
Bi (0.0000, 0.0000, 0.2873)
Bi (0.0000, 0.0000, 0.7127)
Bi (0.5000, 0.5000, 0.2127)
Bi (0.5000, 0.5000, 0.7873)
N (0.0000, 0.5000, 0.0000)
N (0.0000, 0.5000, 0.5000)
N (0.5000, 0.0000, 0.0000)
N (0.5000, 0.0000, 0.5000)

No. 2
The following is a simulated powder X-ray diffraction pattern of Sr3CaRh. It was derived from a cell relaxed with PBE, using λ = 1.5418 Å (Cu Kα).
Peak positions follow from Bragg's law for the DFT cell and can differ from measured ones.

Principal peaks in the range 2θ = 15–90°, in order of rising 2θ:
2θ 18.96, I = 55; 2θ 27.38, I = 56; 2θ 27.81, I = 74; 2θ 29.48, I = 79; 2θ 30.38, I = 55; 2θ 31.90, I = 100; 2θ 35.77, I = 59; 2θ 45.37, I = 47

Crystal structure
Lattice parameters (Å, degrees): 8.0457 8.0457 8.8094 123.18 123.18 71.17
Atoms (fractional coordinates):
Sr (0.0501, 0.0501, 0.2488)
Sr (0.0564, 0.4468, 0.8075)
Sr (0.4545, 0.4463, 0.6496)
Sr (0.5532, 0.9436, 0.1925)
Sr (0.5537, 0.5455, 0.3504)
Sr (0.9499, 0.9499, 0.7512)
Ca (0.4544, 0.0401, 0.8076)
Ca (0.9599, 0.5456, 0.1924)
Rh (0.2491, 0.2506, 0.1150)
Rh (0.7494, 0.7509, 0.8850)